1.
Structure and simulated PXRD pattern of KBa2Bi3O9 (a structure optimized by DFT (GGA-PBE); Cu Kα, 1.54184 Å).
Lines closer than 0.1° are merged.

Crystal structure
```
data_KBa2Bi3O9
_chemical_formula_sum 'K1 Ba2 Bi3 O9'
_space_group_name_H-M_alt 'P -3 m 1'
_space_group_IT_number 164
_space_group_name_Hall '-P 3 2"'
_cell_length_a 6.1876
_cell_length_b 6.1876
_cell_length_c 7.5814
_cell_angle_alpha 90.00
_cell_angle_beta 90.00
_cell_angle_gamma 120.00
loop_
_atom_site_label
_atom_site_fract_x
_atom_site_fract_y
_atom_site_fract_z
K1 0.0000 0.0000 0.0000
Ba1 0.3333 0.6667 0.6684
Bi1 0.0000 0.0000 0.5000
Bi2 0.3333 0.6667 0.1637
O1 0.0000 0.5000 0.0000
O2 0.1710 0.3421 0.3452
```

Principal peaks in the range 2θ from 15° to 90°, by angle:
4.376 Å, rel. 21, (1 0 1)
3.094 Å, rel. 100, (1 1 0)
2.188 Å, rel. 29, (2 0 2)
1.957 Å, rel. 10, (2 1 1)
1.786 Å, rel. 43, (1 2 2)
1.547 Å, rel. 19, (2 2 0)
1.459 Å, rel. 5, (0 3 3)
1.384 Å, rel. 19, (3 1 2)
1.263 Å, rel. 6, (0 4 2)
1.170 Å, rel. 23, (4 1 0)



2.
Structure and simulated PXRD pattern of KBa2Bi2O7 (a structure optimized by DFT (GGA-PBE); Cu Kα, 1.54184 Å).
Lines closer than 0.1° are merged.

Crystal structure
```
data_KBa2Bi2O7
_chemical_formula_sum 'K2 Ba4 Bi4 O14'
_space_group_name_H-M_alt 'I 4 m m'
_space_group_IT_number 107
_space_group_name_Hall 'I 4 -2'
_cell_length_a 4.372
_cell_length_b 4.372
_cell_length_c 22.317
_cell_angle_alpha 90.00
_cell_angle_beta 90.00
_cell_angle_gamma 90.00
loop_
_atom_site_label
_atom_site_fract_x
_atom_site_fract_y
_atom_site_fract_z
K1 0.000 0.000 0.000
Ba1 0.000 0.000 0.625
Ba2 0.000 0.000 0.819
Bi1 0.000 0.000 0.217
Bi2 0.000 0.000 0.417
O1 0.000 0.000 0.122
O2 0.000 0.000 0.314
O3 0.000 0.000 0.511
O4 0.000 0.500 0.217
O5 0.000 0.500 0.404
```

Principal peaks in the range 2θ from 15° to 90°, by angle:
5.579 Å, rel. 13, (0 0 4)
4.290 Å, rel. 17, (1 0 1)
3.123 Å, rel. 100, (1 0 5)
3.091 Å, rel. 56, (1 1 0)
2.232 Å, rel. 14, (0 0 10)
2.186 Å, rel. 30, (2 0 0)
1.809 Å, rel. 22, (1 1 10)
1.791 Å, rel. 42, (2 1 5)
1.562 Å, rel. 18, (2 0 10)
1.175 Å, rel. 12, (3 1 10)